# HfZrB4
Simulated powder XRD pattern, CuKα. Input: a crystal structure in Alexandria, relaxed with GGA-PBE.
Lines closer than 0.1° are merged.

Structural model:
```
HfZrB4
1.0
3.3201 0.0000 0.0000
0.0000 3.3201 0.0000
0.0000 0.0000 11.0437
Hf Zr B
2 2 8
Direct
0.0000 0.0000 0.0000
0.5000 0.5000 0.5000
0.0000 0.5000 0.2500
0.5000 0.0000 0.7500
0.0000 0.0000 0.4188
0.0000 0.0000 0.5812
0.0000 0.5000 0.6673
0.0000 0.5000 0.8327
0.5000 0.0000 0.1673
0.5000 0.0000 0.3327
0.5000 0.5000 0.0812
0.5000 0.5000 0.9188
```

The 10 most intense peaks (10 to 90 degrees two-theta), most intense first:
hkl	d [Å]	2θ/deg	Rel. int.
1 0 1	3.180	28.06	100.0
1 1 2	2.161	41.81	87.3
1 0 3	2.465	36.44	62.3
0 0 4	2.761	32.43	34.8
1 0 5	1.839	49.57	31.7
2 1 1	1.472	63.19	21.6
2 0 0	1.660	55.34	20.7
2 1 3	1.377	68.09	20.1
0 0 2	5.522	16.05	18.8
2 0 4	1.423	65.62	18.6